[1]
Structure and computed PXRD pattern of Cs2PbI3Cl (a structure optimized by DFT (GGA-PBE); λ = 1.5418 Å (Cu Kα)).
Peak positions follow from Bragg's law for the DFT cell and can differ from measured ones.

Top 12 peaks for 10° ≤ 2θ ≤ 80°, low angle first:
- d = 5.506 Å, I = 38
- d = 4.252 Å, I = 100
- d = 3.295 Å, I = 50
- d = 3.255 Å, I = 40
- d = 3.223 Å, I = 38
- d = 3.170 Å, I = 61
- d = 2.866 Å, I = 47
- d = 2.604 Å, I = 35
- d = 2.284 Å, I = 37
- d = 2.163 Å, I = 31
- d = 2.126 Å, I = 40
- d = 1.786 Å, I = 34

Structure:
```
data_Cs2PbI3Cl
_cell_length_a 10.769
_cell_length_b 10.769
_cell_length_c 10.769
_cell_angle_alpha 149.13
_cell_angle_beta 145.76
_cell_angle_gamma 46.76
_space_group_name_H-M_alt 'P 1'
_space_group_IT_number 1
_space_group_name_Hall 'P 1'
loop_
_atom_site_label
_atom_site_type_symbol
_atom_site_fract_x
_atom_site_fract_y
_atom_site_fract_z
_atom_site_occupancy
Cs1 Cs 0.140 0.140 0.000 1
Cs2 Cs 0.860 0.860 0.000 1
Pb1 Pb 0.500 0.500 0.000 1
I1 I 0.000 0.500 0.500 1
I2 I 0.335 0.335 0.000 1
I3 I 0.665 0.665 0.000 1
Cl1 Cl 0.500 0.000 0.500 1
```

=====

[2]
Structure and computed PXRD pattern of Zr3Ag4Au2 (a structure optimized by DFT (GGA-PBE); λ = 1.5418 Å (Cu Kα)).
Peak positions follow from Bragg's law for the DFT cell and can differ from measured ones.

Top 12 peaks for 10° ≤ 2θ ≤ 80°, low angle first:
- d = 4.506 Å, I = 8
- d = 4.135 Å, I = 6
- d = 2.898 Å, I = 15
- d = 2.387 Å, I = 100
- d = 2.373 Å, I = 77
- d = 1.843 Å, I = 23
- d = 1.683 Å, I = 26
- d = 1.449 Å, I = 7
- d = 1.378 Å, I = 17
- d = 1.376 Å, I = 26
- d = 1.245 Å, I = 6
- d = 1.239 Å, I = 24

Structure:
```
data_Zr3Ag4Au2
_cell_length_a 8.269
_cell_length_b 8.269
_cell_length_c 5.796
_cell_angle_alpha 90.06
_cell_angle_beta 90.06
_cell_angle_gamma 60.02
_space_group_name_H-M_alt 'P 1'
_space_group_IT_number 1
_space_group_name_Hall 'P 1'
loop_
_atom_site_label
_atom_site_type_symbol
_atom_site_fract_x
_atom_site_fract_y
_atom_site_fract_z
_atom_site_occupancy
Zr1 Zr 0.000 0.000 0.250 1
Zr2 Zr 0.000 0.000 0.750 1
Zr3 Zr 0.329 0.329 0.250 1
Zr4 Zr 0.329 0.329 0.750 1
Zr5 Zr 0.671 0.671 0.250 1
Zr6 Zr 0.671 0.671 0.750 1
Ag1 Ag 0.004 0.665 0.000 1
Ag2 Ag 0.335 0.663 0.000 1
Ag3 Ag 0.335 0.996 0.500 1
Ag4 Ag 0.337 0.665 0.500 1
Ag5 Ag 0.663 0.335 0.500 1
Ag6 Ag 0.665 0.004 0.500 1
Ag7 Ag 0.665 0.337 0.000 1
Ag8 Ag 0.996 0.335 0.000 1
Au1 Au 0.002 0.669 0.500 1
Au2 Au 0.331 0.998 0.000 1
Au3 Au 0.669 0.002 0.000 1
Au4 Au 0.998 0.331 0.500 1
```

=====

[3]
Structure and computed PXRD pattern of Tb6Er5Mg2 (a structure optimized by DFT (GGA-PBE); λ = 1.5418 Å (Cu Kα)).
Peak positions follow from Bragg's law for the DFT cell and can differ from measured ones.

Top 12 peaks for 10° ≤ 2θ ≤ 80°, low angle first:
- d = 3.191 Å, I = 40
- d = 3.120 Å, I = 98
- d = 2.980 Å, I = 88
- d = 2.805 Å, I = 100
- d = 2.725 Å, I = 100
- d = 2.708 Å, I = 77
- d = 2.579 Å, I = 40
- d = 2.560 Å, I = 31
- d = 2.440 Å, I = 86
- d = 1.759 Å, I = 28
- d = 1.490 Å, I = 27
- d = 1.478 Å, I = 31

Structure:
```
data_Tb6Er5Mg2
_cell_length_a 10.297
_cell_length_b 22.439
_cell_length_c 3.518
_cell_angle_alpha 90.00
_cell_angle_beta 90.00
_cell_angle_gamma 90.00
_space_group_name_H-M_alt 'P 1'
_space_group_IT_number 1
_space_group_name_Hall 'P 1'
loop_
_atom_site_label
_atom_site_type_symbol
_atom_site_fract_x
_atom_site_fract_y
_atom_site_fract_z
_atom_site_occupancy
Tb1 Tb 0.018 0.113 0.000 1
Tb2 Tb 0.143 0.382 0.000 1
Tb3 Tb 0.170 0.634 0.500 1
Tb4 Tb 0.330 0.134 0.500 1
Tb5 Tb 0.357 0.882 0.000 1
Tb6 Tb 0.482 0.613 0.000 1
Tb7 Tb 0.518 0.387 0.000 1
Tb8 Tb 0.643 0.118 0.000 1
Tb9 Tb 0.670 0.866 0.500 1
Tb10 Tb 0.830 0.366 0.500 1
Tb11 Tb 0.857 0.618 0.000 1
Tb12 Tb 0.982 0.887 0.000 1
Er1 Er 0.000 0.500 0.500 1
Er2 Er 0.078 0.249 0.500 1
Er3 Er 0.166 0.994 0.500 1
Er4 Er 0.334 0.494 0.500 1
Er5 Er 0.422 0.749 0.500 1
Er6 Er 0.500 0.000 0.500 1
Er7 Er 0.578 0.251 0.500 1
Er8 Er 0.666 0.506 0.500 1
Er9 Er 0.834 0.006 0.500 1
Er10 Er 0.922 0.751 0.500 1
Mg1 Mg 0.172 0.760 0.000 1
Mg2 Mg 0.328 0.260 0.000 1
Mg3 Mg 0.672 0.740 0.000 1
Mg4 Mg 0.828 0.240 0.000 1
```

=====

[4]
Structure and computed PXRD pattern of LuScGaGe (a structure optimized by DFT (GGA-PBE); λ = 1.5418 Å (Cu Kα)).
Peak positions follow from Bragg's law for the DFT cell and can differ from measured ones.

Top 11 peaks for 10° ≤ 2θ ≤ 80°, low angle first:
- d = 3.976 Å, I = 28
- d = 3.443 Å, I = 4
- d = 2.435 Å, I = 100
- d = 2.076 Å, I = 16
- d = 1.988 Å, I = 1
- d = 1.722 Å, I = 17
- d = 1.580 Å, I = 7
- d = 1.540 Å, I = 2
- d = 1.406 Å, I = 35
- d = 1.325 Å, I = 5
- d = 1.217 Å, I = 11

Structure:
```
data_LuScGaGe
_cell_length_a 4.869
_cell_length_b 4.869
_cell_length_c 4.869
_cell_angle_alpha 60.00
_cell_angle_beta 60.00
_cell_angle_gamma 60.00
_space_group_name_H-M_alt 'P 1'
_space_group_IT_number 1
_space_group_name_Hall 'P 1'
loop_
_atom_site_label
_atom_site_type_symbol
_atom_site_fract_x
_atom_site_fract_y
_atom_site_fract_z
_atom_site_occupancy
Lu1 Lu 0.000 0.000 0.000 1
Sc1 Sc 0.500 0.500 0.500 1
Ga1 Ga 0.250 0.250 0.250 1
Ge1 Ge 0.750 0.750 0.750 1
```

=====

[5]
Structure and computed PXRD pattern of KTe (a structure optimized by DFT (GGA-PBE); λ = 1.5418 Å (Cu Kα)).
Peak positions follow from Bragg's law for the DFT cell and can differ from measured ones.

Top 12 peaks for 10° ≤ 2θ ≤ 80°, low angle first:
- d = 4.844 Å, I = 100
- d = 3.862 Å, I = 15
- d = 2.797 Å, I = 64
- d = 2.669 Å, I = 78
- d = 2.422 Å, I = 17
- d = 2.106 Å, I = 13
- d = 1.931 Å, I = 30
- d = 1.831 Å, I = 15
- d = 1.615 Å, I = 11
- d = 1.589 Å, I = 31
- d = 1.389 Å, I = 11
- d = 1.239 Å, I = 13

Structure:
```
data_KTe
_cell_length_a 9.688
_cell_length_b 9.688
_cell_length_c 6.398
_cell_angle_alpha 90.00
_cell_angle_beta 90.00
_cell_angle_gamma 120.00
_space_group_name_H-M_alt 'P 1'
_space_group_IT_number 1
_space_group_name_Hall 'P 1'
loop_
_atom_site_label
_atom_site_type_symbol
_atom_site_fract_x
_atom_site_fract_y
_atom_site_fract_z
_atom_site_occupancy
K1 K 0.000 0.324 0.000 1
K2 K 0.000 0.657 0.500 1
K3 K 0.324 0.000 0.000 1
K4 K 0.343 0.343 0.500 1
K5 K 0.657 0.000 0.500 1
K6 K 0.676 0.676 0.000 1
Te1 Te 0.000 0.000 0.277 1
Te2 Te 0.000 0.000 0.723 1
Te3 Te 0.333 0.667 0.224 1
Te4 Te 0.333 0.667 0.776 1
Te5 Te 0.667 0.333 0.224 1
Te6 Te 0.667 0.333 0.776 1
```

=====

[6]
Structure and computed PXRD pattern of PmPrIrRh (a structure optimized by DFT (GGA-PBE); λ = 1.5418 Å (Cu Kα)).
Peak positions follow from Bragg's law for the DFT cell and can differ from measured ones.

Top 12 peaks for 10° ≤ 2θ ≤ 80°, low angle first:
- d = 2.818 Å, I = 100
- d = 2.742 Å, I = 26
- d = 2.702 Å, I = 26
- d = 2.304 Å, I = 31
- d = 2.280 Å, I = 68
- d = 2.123 Å, I = 27
- d = 2.006 Å, I = 23
- d = 1.679 Å, I = 17
- d = 1.513 Å, I = 17
- d = 1.459 Å, I = 31
- d = 1.287 Å, I = 14
- d = 1.203 Å, I = 16

Structure:
```
data_PmPrIrRh
_cell_length_a 4.245
_cell_length_b 5.840
_cell_length_c 5.840
_cell_angle_alpha 40.18
_cell_angle_beta 90.00
_cell_angle_gamma 90.00
_space_group_name_H-M_alt 'P 1'
_space_group_IT_number 1
_space_group_name_Hall 'P 1'
loop_
_atom_site_label
_atom_site_type_symbol
_atom_site_fract_x
_atom_site_fract_y
_atom_site_fract_z
_atom_site_occupancy
Pm1 Pm 0.000 0.000 0.000 1
Pr1 Pr 0.500 0.713 0.713 1
Ir1 Ir 0.500 0.438 0.438 1
Rh1 Rh 0.000 0.277 0.277 1
```

=====

[7]
Structure and computed PXRD pattern of BeV2Co6 (a structure optimized by DFT (GGA-PBE); λ = 1.5418 Å (Cu Kα)).
Peak positions follow from Bragg's law for the DFT cell and can differ from measured ones.

Top 12 peaks for 10° ≤ 2θ ≤ 80°, low angle first:
- d = 4.330 Å, I = 3
- d = 3.094 Å, I = 3
- d = 2.211 Å, I = 24
- d = 2.199 Å, I = 3
- d = 2.165 Å, I = 25
- d = 1.969 Å, I = 100
- d = 1.944 Å, I = 5
- d = 1.547 Å, I = 16
- d = 1.323 Å, I = 2
- d = 1.277 Å, I = 15
- d = 1.256 Å, I = 2
- d = 1.209 Å, I = 12

Structure:
```
data_BeV2Co6
_cell_length_a 5.106
_cell_length_b 5.106
_cell_length_c 4.330
_cell_angle_alpha 90.00
_cell_angle_beta 90.00
_cell_angle_gamma 120.00
_space_group_name_H-M_alt 'P 1'
_space_group_IT_number 1
_space_group_name_Hall 'P 1'
loop_
_atom_site_label
_atom_site_type_symbol
_atom_site_fract_x
_atom_site_fract_y
_atom_site_fract_z
_atom_site_occupancy
Be1 Be 0.000 0.000 0.000 1
V1 V 0.333 0.667 0.213 1
V2 V 0.667 0.333 0.787 1
Co1 Co 0.176 0.353 0.714 1
Co2 Co 0.176 0.824 0.714 1
Co3 Co 0.353 0.176 0.286 1
Co4 Co 0.647 0.824 0.714 1
Co5 Co 0.824 0.176 0.286 1
Co6 Co 0.824 0.647 0.286 1
```

=====

[8]
Structure and computed PXRD pattern of Li2CuH4O4 (a structure optimized by DFT (GGA-PBE); λ = 1.5418 Å (Cu Kα)).
Peak positions follow from Bragg's law for the DFT cell and can differ from measured ones.

Top 12 peaks for 10° ≤ 2θ ≤ 80°, low angle first:
- d = 4.141 Å, I = 100
- d = 3.963 Å, I = 20
- d = 3.529 Å, I = 17
- d = 3.347 Å, I = 18
- d = 2.428 Å, I = 38
- d = 2.321 Å, I = 21
- d = 2.137 Å, I = 14
- d = 2.070 Å, I = 14
- d = 2.055 Å, I = 11
- d = 1.981 Å, I = 11
- d = 1.586 Å, I = 9
- d = 1.535 Å, I = 13

Structure:
```
data_Li2CuH4O4
_cell_length_a 7.057
_cell_length_b 6.693
_cell_length_c 7.926
_cell_angle_alpha 90.00
_cell_angle_beta 90.00
_cell_angle_gamma 90.00
_space_group_name_H-M_alt 'P 1'
_space_group_IT_number 1
_space_group_name_Hall 'P 1'
loop_
_atom_site_label
_atom_site_type_symbol
_atom_site_fract_x
_atom_site_fract_y
_atom_site_fract_z
_atom_site_occupancy
Li1 Li 0.018 0.123 0.000 1
Li2 Li 0.168 0.470 0.220 1
Li3 Li 0.332 0.970 0.720 1
Li4 Li 0.482 0.623 0.500 1
Li5 Li 0.518 0.377 0.000 1
Li6 Li 0.668 0.030 0.220 1
Li7 Li 0.832 0.530 0.720 1
Li8 Li 0.982 0.877 0.500 1
Cu1 Cu 0.245 0.503 0.766 1
Cu2 Cu 0.255 0.003 0.266 1
Cu3 Cu 0.745 0.997 0.766 1
Cu4 Cu 0.755 0.497 0.266 1
H1 H 0.023 0.241 0.701 1
H2 H 0.023 0.803 0.832 1
H3 H 0.131 0.525 0.482 1
H4 H 0.219 0.194 0.510 1
H5 H 0.281 0.694 0.010 1
H6 H 0.369 0.025 0.982 1
H7 H 0.477 0.303 0.332 1
H8 H 0.477 0.741 0.201 1
H9 H 0.523 0.259 0.701 1
H10 H 0.523 0.697 0.832 1
H11 H 0.631 0.975 0.482 1
H12 H 0.719 0.306 0.510 1
H13 H 0.781 0.806 0.010 1
H14 H 0.869 0.475 0.982 1
H15 H 0.977 0.197 0.332 1
H16 H 0.977 0.759 0.201 1
O1 O 0.025 0.323 0.803 1
O2 O 0.053 0.207 0.229 1
O3 O 0.219 0.045 0.508 1
O4 O 0.247 0.458 0.518 1
O5 O 0.253 0.958 0.018 1
O6 O 0.281 0.545 0.008 1
O7 O 0.447 0.707 0.729 1
O8 O 0.475 0.823 0.303 1
O9 O 0.525 0.177 0.803 1
O10 O 0.553 0.293 0.229 1
O11 O 0.719 0.455 0.508 1
O12 O 0.747 0.042 0.518 1
O13 O 0.753 0.542 0.018 1
O14 O 0.781 0.955 0.008 1
O15 O 0.947 0.793 0.729 1
O16 O 0.975 0.677 0.303 1
```

=====

- Which formula does entry 5 have?
  KTe